Diffraction record for MgTiCdRh. The powder XRD pattern is theoretical, not measured: it uses a DFT-relaxed cell (PBE, Alexandria) and a wavelength of 1.5418 Å.
Peak positions follow from Bragg's law for the DFT cell and can differ from measured ones.

Main lines, sorted by position (2θ = 5–70°):
2θ/deg, intensity
25.67, 21.3
27.90, 32.9
38.27, 100.0
39.86, 49.8
48.02, 15.5
57.64, 16.1

Structure:
```
4
Lattice="3.1982 0.0000 0.0000 0.0000 3.1982 0.0000 0.0000 0.0000 6.9401" Properties=species:S:1:pos:R:3 pbc="T T T"
Mg 0.0000 0.0000 0.0000
Ti 0.0000 0.0000 3.9452
Cd 1.5991 1.5991 2.0055
Rh 1.5991 1.5991 5.1855
```



Diffraction record for MgZrCdRh. The powder XRD pattern is theoretical, not measured: it uses a DFT-relaxed cell (PBE, Alexandria) and a wavelength of 1.5418 Å.
Peak positions follow from Bragg's law for the DFT cell and can differ from measured ones.

Main lines, sorted by position (2θ = 5–70°):
2θ/deg, intensity
12.07, 13.3
37.05, 100.0
39.38, 45.5
56.92, 15.0
65.21, 14.2
69.88, 29.3

Structure:
```
4
Lattice="3.2357 0.0000 0.0000 0.0000 3.2357 0.0000 0.0000 0.0000 7.3335" Properties=species:S:1:pos:R:3 pbc="T T T"
Mg 0.0000 0.0000 0.0000
Zr 0.0000 0.0000 3.1745
Cd 1.6178 1.6178 5.3740
Rh 1.6178 1.6178 1.6311
```



Diffraction record for Mg6Cd5Ru. The powder XRD pattern is theoretical, not measured: it uses a DFT-relaxed cell (PBE, Alexandria) and a wavelength of 1.5418 Å.
Peak positions follow from Bragg's law for the DFT cell and can differ from measured ones.

Main lines, sorted by position (2θ = 5–70°):
2θ/deg, intensity
25.10, 52.3
25.45, 57.8
27.61, 50.5
36.13, 56.3
37.66, 95.5
37.90, 100.0

Structure:
```
12
Lattice="4.9952 0.0000 0.0000 0.0000 6.4607 0.0000 -2.3959 0.0000 7.4585" Properties=species:S:1:pos:R:3 pbc="T T T"
Mg 0.0000 1.4888 0.0000
Mg 0.0000 4.9718 0.0000
Mg -0.2000 1.5252 5.1351
Mg -0.2000 4.9355 5.1351
Mg 2.7993 1.5252 2.3235
Mg 2.7993 4.9355 2.3235
Cd 0.2557 3.2303 2.6347
Cd 0.3499 0.0000 2.4674
Cd 2.4976 3.2303 0.0000
Cd 2.2494 0.0000 4.9911
Cd 2.3436 3.2303 4.8238
Ru 2.4976 0.0000 0.0000
```